Simulated powder X-ray diffraction pattern of LiGeRhO4 for CuKα, from a structure optimized by DFT (GGA-PBE).

Structure:
a b c (Å): 5.998 5.998 5.998
angles (deg): 121.45 118.33 90.21
Atoms (fractional coordinates):
1 Li 0.374 0.124 0.250
2 Li 0.626 0.876 0.750
3 Ge 0.000 0.000 0.500
4 Ge 0.000 0.500 0.000
5 Rh 0.000 0.500 0.500
6 Rh 0.500 0.500 0.000
7 O 0.209 0.744 0.465
8 O 0.221 0.256 0.965
9 O 0.225 0.243 0.518
10 O 0.225 0.708 0.982
11 O 0.775 0.292 0.018
12 O 0.775 0.757 0.482
13 O 0.779 0.744 0.035
14 O 0.791 0.256 0.535

Largest 8 diffraction maxima, in order of falling intensity, 10 to 90 degrees two-theta:
d (Å)	intensity
4.822	100
4.976	67
2.122	54
2.592	40
1.499	33
2.117	26
2.488	22
2.411	20

Simulated powder X-ray diffraction pattern of LiScGe2O6 for CuKα, from a structure optimized by DFT (GGA-PBE).

Structure:
a b c (Å): 9.833 9.221 5.531
angles (deg): 90.00 102.81 90.00
Atoms (fractional coordinates):
1 Li 0.245 0.009 0.467
2 Li 0.245 0.491 0.967
3 Li 0.755 0.509 0.033
4 Li 0.755 0.991 0.533
5 Sc 0.249 0.647 0.469
6 Sc 0.249 0.853 0.969
7 Sc 0.751 0.147 0.031
8 Sc 0.751 0.353 0.531
9 Ge 0.053 0.163 0.810
10 Ge 0.053 0.337 0.310
11 Ge 0.451 0.161 0.245
12 Ge 0.451 0.339 0.745
13 Ge 0.549 0.661 0.255
14 Ge 0.549 0.839 0.755
15 Ge 0.947 0.663 0.690
16 Ge 0.947 0.837 0.190
17 O 0.109 0.192 0.139
18 O 0.109 0.308 0.639
19 O 0.133 0.005 0.743
20 O 0.133 0.495 0.243
21 O 0.133 0.668 0.752
22 O 0.133 0.832 0.252
23 O 0.364 0.671 0.188
24 O 0.364 0.829 0.688
25 O 0.380 0.215 0.502
26 O 0.380 0.285 0.002
27 O 0.381 0.512 0.690
28 O 0.381 0.988 0.190
29 O 0.619 0.012 0.810
30 O 0.619 0.488 0.310
31 O 0.620 0.715 0.998
32 O 0.620 0.785 0.498
33 O 0.636 0.171 0.312
34 O 0.636 0.329 0.812
35 O 0.867 0.168 0.748
36 O 0.867 0.332 0.248
37 O 0.867 0.505 0.757
38 O 0.867 0.995 0.257
39 O 0.891 0.692 0.361
40 O 0.891 0.808 0.861

Largest 8 diffraction maxima, in order of falling intensity, 10 to 90 degrees two-theta:
d (Å)	intensity
3.149	100
3.020	74
3.456	49
2.611	38
4.611	37
2.552	32
3.714	25
1.694	25

Simulated powder X-ray diffraction pattern of LiScGeO4 for CuKα, from a structure optimized by DFT (GGA-PBE).

Structure:
a b c (Å): 10.771 6.057 5.024
angles (deg): 90.00 90.00 90.00
Atoms (fractional coordinates):
1 Li 0.000 0.000 0.000
2 Li 0.000 0.500 0.000
3 Li 0.500 0.000 0.500
4 Li 0.500 0.500 0.500
5 Sc 0.228 0.250 0.496
6 Sc 0.272 0.750 0.996
7 Sc 0.728 0.250 0.004
8 Sc 0.772 0.750 0.504
9 Ge 0.090 0.750 0.550
10 Ge 0.410 0.250 0.050
11 Ge 0.590 0.750 0.950
12 Ge 0.910 0.250 0.450
13 O 0.058 0.250 0.300
14 O 0.097 0.750 0.204
15 O 0.173 0.530 0.715
16 O 0.173 0.970 0.715
17 O 0.327 0.030 0.215
18 O 0.327 0.470 0.215
19 O 0.403 0.250 0.704
20 O 0.442 0.750 0.800
21 O 0.558 0.250 0.200
22 O 0.597 0.750 0.296
23 O 0.673 0.530 0.785
24 O 0.673 0.970 0.785
25 O 0.827 0.030 0.285
26 O 0.827 0.470 0.285
27 O 0.903 0.250 0.796
28 O 0.942 0.750 0.700

Largest 8 diffraction maxima, in order of falling intensity, 10 to 90 degrees two-theta:
d (Å)	intensity
2.631	100
4.553	85
4.025	63
3.029	49
2.522	41
1.661	24
1.472	22
1.544	21

Simulated powder X-ray diffraction pattern of Li3Zn3Ge6O16 for CuKα, from a structure optimized by DFT (GGA-PBE).

Structure:
a b c (Å): 8.400 8.400 8.401
angles (deg): 90.00 90.06 90.00
Atoms (fractional coordinates):
1 Li 0.124 0.000 0.123
2 Li 0.250 0.625 0.001
3 Li 0.374 0.751 0.627
4 Li 0.626 0.251 0.373
5 Li 0.750 0.125 0.999
6 Li 0.876 0.500 0.877
7 Zn 0.000 0.377 0.249
8 Zn 0.000 0.877 0.751
9 Zn 0.250 0.125 0.499
10 Zn 0.500 0.376 0.751
11 Zn 0.500 0.876 0.249
12 Zn 0.750 0.625 0.501
13 Ge 0.118 0.254 0.880
14 Ge 0.126 0.506 0.634
15 Ge 0.129 0.755 0.371
16 Ge 0.373 0.994 0.876
17 Ge 0.379 0.250 0.128
18 Ge 0.379 0.501 0.376
19 Ge 0.621 0.001 0.624
20 Ge 0.621 0.750 0.872
21 Ge 0.627 0.494 0.124
22 Ge 0.871 0.255 0.629
23 Ge 0.874 0.006 0.366
24 Ge 0.882 0.754 0.120
25 O 0.103 0.747 0.145
26 O 0.106 0.980 0.377
27 O 0.112 0.264 0.637
28 O 0.123 0.731 0.606
29 O 0.129 0.481 0.854
30 O 0.139 0.515 0.389
31 O 0.144 0.253 0.105
32 O 0.147 0.020 0.873
33 O 0.355 0.733 0.372
34 O 0.358 0.498 0.603
35 O 0.361 0.237 0.889
36 O 0.373 0.268 0.354
37 O 0.378 0.023 0.107
38 O 0.390 0.487 0.140
39 O 0.394 0.772 0.879
40 O 0.395 0.004 0.643
41 O 0.605 0.504 0.357
42 O 0.606 0.272 0.121
43 O 0.610 0.987 0.860
44 O 0.622 0.523 0.893
45 O 0.627 0.768 0.646
46 O 0.639 0.737 0.111
47 O 0.642 0.998 0.397
48 O 0.645 0.233 0.628
49 O 0.853 0.520 0.127
50 O 0.856 0.753 0.895
51 O 0.861 0.015 0.611
52 O 0.871 0.981 0.146
53 O 0.877 0.231 0.394
54 O 0.888 0.764 0.363
55 O 0.894 0.480 0.623
56 O 0.897 0.247 0.855

Largest 8 diffraction maxima, in order of falling intensity, 10 to 90 degrees two-theta:
d (Å)	intensity
2.533	100
1.485	47
1.617	39
2.970	27
3.757	26
2.100	22
5.940	19
4.850	17

Simulated powder X-ray diffraction pattern of Li2Zn3Ge6O16 for CuKα, from a structure optimized by DFT (GGA-PBE).

Structure:
a b c (Å): 8.317 8.316 8.322
angles (deg): 90.00 90.25 90.00
Atoms (fractional coordinates):
1 Li 0.124 0.000 0.124
2 Li 0.251 0.626 0.002
3 Li 0.749 0.126 0.998
4 Li 0.876 0.500 0.876
5 Zn 0.002 0.376 0.249
6 Zn 0.250 0.127 0.498
7 Zn 0.499 0.874 0.247
8 Zn 0.501 0.374 0.753
9 Zn 0.750 0.627 0.502
10 Zn 0.998 0.876 0.751
11 Ge 0.120 0.255 0.879
12 Ge 0.130 0.755 0.374
13 Ge 0.131 0.508 0.633
14 Ge 0.372 0.992 0.873
15 Ge 0.382 0.501 0.379
16 Ge 0.383 0.249 0.130
17 Ge 0.617 0.749 0.870
18 Ge 0.618 0.001 0.621
19 Ge 0.628 0.492 0.127
20 Ge 0.869 0.008 0.367
21 Ge 0.870 0.255 0.626
22 Ge 0.880 0.755 0.121
23 O 0.101 0.746 0.146
24 O 0.106 0.979 0.379
25 O 0.112 0.265 0.638
26 O 0.112 0.729 0.604
27 O 0.131 0.483 0.853
28 O 0.138 0.516 0.391
29 O 0.144 0.254 0.102
30 O 0.147 0.018 0.871
31 O 0.351 0.730 0.364
32 O 0.357 0.488 0.601
33 O 0.358 0.236 0.889
34 O 0.362 0.272 0.351
35 O 0.377 0.025 0.108
36 O 0.390 0.487 0.140
37 O 0.394 0.773 0.892
38 O 0.396 0.014 0.644
39 O 0.604 0.514 0.356
40 O 0.606 0.273 0.108
41 O 0.610 0.987 0.860
42 O 0.623 0.525 0.892
43 O 0.638 0.772 0.649
44 O 0.642 0.736 0.111
45 O 0.643 0.988 0.399
46 O 0.649 0.230 0.636
47 O 0.853 0.518 0.129
48 O 0.856 0.754 0.898
49 O 0.862 0.016 0.609
50 O 0.869 0.983 0.147
51 O 0.888 0.229 0.396
52 O 0.888 0.765 0.362
53 O 0.894 0.479 0.621
54 O 0.899 0.246 0.854

Largest 8 diffraction maxima, in order of falling intensity, 10 to 90 degrees two-theta:
d (Å)	intensity
2.509	100
1.470	36
3.719	35
2.942	27
5.881	26
2.079	26
1.600	23
1.602	23

Simulated powder X-ray diffraction pattern of Li5GeP3 for CuKα, from a structure optimized by DFT (GGA-PBE).

Structure:
a b c (Å): 7.137 7.137 8.340
angles (deg): 106.86 106.86 48.49
Atoms (fractional coordinates):
1 Li 0.085 0.580 0.913
2 Li 0.087 0.583 0.422
3 Li 0.246 0.754 0.750
4 Li 0.417 0.913 0.078
5 Li 0.420 0.915 0.587
6 Li 0.580 0.085 0.413
7 Li 0.583 0.087 0.922
8 Li 0.754 0.246 0.250
9 Li 0.913 0.417 0.578
10 Li 0.915 0.420 0.087
11 Ge 0.267 0.733 0.250
12 Ge 0.733 0.267 0.750
13 P 0.000 0.000 0.000
14 P 0.000 0.000 0.500
15 P 0.321 0.361 0.173
16 P 0.361 0.321 0.673
17 P 0.639 0.679 0.327
18 P 0.679 0.639 0.827

Largest 8 diffraction maxima, in order of falling intensity, 10 to 90 degrees two-theta:
d (Å)	intensity
2.071	100
4.706	75
6.169	69
3.398	61
4.145	47
3.951	45
3.367	43
2.085	27

Simulated powder X-ray diffraction pattern of Li5GeP3 for CuKα, from a structure optimized by DFT (GGA-PBE).

Structure:
a b c (Å): 7.157 7.157 8.548
angles (deg): 107.07 107.07 48.92
Atoms (fractional coordinates):
1 Li 0.085 0.583 0.674
2 Li 0.090 0.575 0.188
3 Li 0.240 0.760 0.500
4 Li 0.408 0.910 0.832
5 Li 0.431 0.911 0.352
6 Li 0.575 0.090 0.688
7 Li 0.583 0.085 0.174
8 Li 0.760 0.240 0.000
9 Li 0.910 0.408 0.332
10 Li 0.911 0.431 0.852
11 Ge 0.289 0.710 0.050
12 Ge 0.710 0.289 0.550
13 P 0.014 0.985 0.238
14 P 0.320 0.360 0.934
15 P 0.360 0.320 0.434
16 P 0.637 0.681 0.084
17 P 0.681 0.637 0.584
18 P 0.985 0.014 0.738

Largest 8 diffraction maxima, in order of falling intensity, 10 to 90 degrees two-theta:
d (Å)	intensity
3.465	100
4.775	79
6.167	70
4.039	56
4.197	49
2.092	45
2.098	44
3.378	35

Simulated powder X-ray diffraction pattern of Li10GeP2S12 for CuKα, from a structure optimized by DFT (GGA-PBE).

Structure:
a b c (Å): 8.590 8.880 12.975
angles (deg): 91.98 90.64 90.25
Atoms (fractional coordinates):
1 Li 0.000 0.000 0.000
2 Li 0.000 0.471 0.114
3 Li 0.012 0.455 0.398
4 Li 0.015 0.004 0.754
5 Li 0.015 0.963 0.233
6 Li 0.030 0.532 0.906
7 Li 0.232 0.759 0.499
8 Li 0.267 0.239 0.799
9 Li 0.281 0.208 0.297
10 Li 0.505 0.499 0.605
11 Li 0.512 0.506 0.879
12 Li 0.514 0.990 0.030
13 Li 0.518 0.004 0.756
14 Li 0.524 0.463 0.100
15 Li 0.535 0.971 0.438
16 Li 0.554 0.458 0.374
17 Li 0.735 0.760 0.174
18 Li 0.759 0.760 0.700
19 Li 0.986 0.061 0.502
20 Li 0.992 0.502 0.668
21 Ge 0.279 0.234 0.564
22 Ge 0.767 0.731 0.931
23 P 0.258 0.252 0.059
24 P 0.263 0.759 0.741
25 P 0.763 0.208 0.250
26 P 0.779 0.726 0.433
27 S 0.055 0.232 0.654
28 S 0.063 0.274 0.967
29 S 0.066 0.774 0.649
30 S 0.255 0.044 0.123
31 S 0.257 0.553 0.807
32 S 0.263 0.036 0.451
33 S 0.266 0.422 0.171
34 S 0.266 0.938 0.845
35 S 0.288 0.444 0.470
36 S 0.455 0.773 0.648
37 S 0.456 0.259 0.969
38 S 0.484 0.242 0.670
39 S 0.550 0.709 0.021
40 S 0.572 0.189 0.338
41 S 0.585 0.734 0.338
42 S 0.759 0.419 0.192
43 S 0.763 0.906 0.536
44 S 0.771 0.952 0.852
45 S 0.773 0.525 0.509
46 S 0.775 0.037 0.138
47 S 0.777 0.539 0.814
48 S 0.966 0.191 0.336
49 S 0.972 0.722 0.040
50 S 0.983 0.729 0.349

Largest 8 diffraction maxima, in order of falling intensity, 10 to 90 degrees two-theta:
d (Å)	intensity
6.173	100
3.044	80
3.064	68
3.029	68
4.439	63
2.148	54
7.203	51
3.151	49